No. 1
Starting from a structure optimized by DFT (PBE), the powder XRD pattern of Si6Rh7 was calculated for Cu Kα X-rays.
Kinematic intensities with the Lorentz-polarization factor, no thermal factor.

Structure:
```
data_Si6Rh7
_chemical_formula_sum 'Si18 Rh21'
_symmetry_space_group_name_H-M 'R -3 m'
_symmetry_Int_Tables_number 166
_symmetry_space_group_name_Hall '-R 3 2"'
_cell_length_a 5.3036
_cell_length_b 5.3036
_cell_length_c 25.0535
_cell_angle_alpha 90.00
_cell_angle_beta 90.00
_cell_angle_gamma 120.00
loop_
_atom_site_label
_atom_site_type_symbol
_atom_site_fract_x
_atom_site_fract_y
_atom_site_fract_z
_atom_site_occupancy
Si1 Si 0.0000 0.0000 0.0880 1
Si2 Si 0.0000 0.0000 0.1838 1
Si3 Si 0.0000 0.0000 0.3320 1
Rh1 Rh 0.0000 0.0000 0.5000 1
Rh2 Rh 0.0033 0.5017 0.0743 1
```

The 12 most intense peaks (2θ from 10° to 80°), by intensity:
| d/Å | two_theta | I/Imax |
| --- | --- | --- |
| 1.933 | 47.01 | 100 |
| 4.518 | 19.65 | 98 |
| 2.088 | 43.34 | 97 |
| 4.176 | 21.28 | 84 |
| 2.287 | 39.40 | 64 |
| 2.239 | 40.29 | 58 |
| 2.259 | 39.91 | 47 |
| 1.852 | 49.20 | 36 |
| 1.326 | 71.10 | 35 |
| 1.412 | 66.19 | 27 |
| 2.784 | 32.16 | 21 |
| 1.476 | 62.96 | 14 |

=====

No. 2
Starting from a structure optimized by DFT (PBE), the powder XRD pattern of Si5Rh3 was calculated for Cu Kα X-rays.
Kinematic intensities with the Lorentz-polarization factor, no thermal factor.

Structure:
```
data_Si5Rh3
_chemical_formula_sum 'Si10 Rh6'
_symmetry_space_group_name_H-M 'P 63/m c m'
_symmetry_Int_Tables_number 193
_symmetry_space_group_name_Hall '-P 6c 2'
_cell_length_a 7.5158
_cell_length_b 7.5158
_cell_length_c 4.6775
_cell_angle_alpha 90.00
_cell_angle_beta 90.00
_cell_angle_gamma 120.00
loop_
_atom_site_label
_atom_site_type_symbol
_atom_site_fract_x
_atom_site_fract_y
_atom_site_fract_z
_atom_site_occupancy
Si1 Si 0.0000 0.2584 0.2500 1
Si2 Si 0.3333 0.6667 0.0000 1
Rh1 Rh 0.0000 0.3693 0.7500 1
```

The 12 most intense peaks (2θ from 10° to 80°), by intensity:
| d/Å | two_theta | I/Imax |
| --- | --- | --- |
| 2.930 | 30.51 | 100 |
| 2.170 | 41.63 | 70 |
| 2.177 | 41.47 | 47 |
| 1.986 | 45.69 | 46 |
| 3.758 | 23.68 | 38 |
| 2.339 | 38.49 | 26 |
| 1.591 | 57.98 | 25 |
| 1.744 | 52.48 | 25 |
| 1.684 | 54.48 | 17 |
| 6.509 | 13.60 | 15 |
| 1.359 | 69.12 | 14 |
| 1.465 | 63.51 | 12 |

=====

No. 3
Starting from a structure optimized by DFT (PBE), the powder XRD pattern of Si13Rh20 was calculated for Cu Kα X-rays.
Kinematic intensities with the Lorentz-polarization factor, no thermal factor.

Structure:
```
data_Si13Rh20
_chemical_formula_sum 'Si13 Rh20'
_symmetry_space_group_name_H-M 'P -3'
_symmetry_Int_Tables_number 147
_symmetry_space_group_name_Hall '-P 3'
_cell_length_a 11.9501
_cell_length_b 11.9501
_cell_length_c 3.6446
_cell_angle_alpha 90.00
_cell_angle_beta 90.00
_cell_angle_gamma 120.00
loop_
_atom_site_label
_atom_site_type_symbol
_atom_site_fract_x
_atom_site_fract_y
_atom_site_fract_z
_atom_site_occupancy
Si1 Si 0.0000 0.0000 0.0000 1
Si2 Si 0.1088 0.7693 0.2477 1
Si3 Si 0.1676 0.5513 0.2494 1
Rh1 Rh 0.0058 0.8170 0.7522 1
Rh2 Rh 0.0707 0.6097 0.7485 1
Rh3 Rh 0.1273 0.3995 0.7460 1
Rh4 Rh 0.3333 0.6667 0.7542 1
```

The 12 most intense peaks (2θ from 10° to 80°), by intensity:
| d/Å | two_theta | I/Imax |
| --- | --- | --- |
| 2.256 | 39.96 | 100 |
| 2.110 | 42.87 | 20 |
| 3.438 | 25.92 | 19 |
| 1.822 | 50.05 | 15 |
| 1.418 | 65.86 | 15 |
| 2.310 | 38.98 | 14 |
| 1.990 | 45.59 | 13 |
| 1.370 | 68.49 | 8 |
| 2.374 | 37.89 | 7 |
| 1.335 | 70.52 | 7 |
| 1.657 | 55.45 | 6 |
| 2.667 | 33.61 | 4 |

=====

No. 4
Starting from a structure optimized by DFT (PBE), the powder XRD pattern of Si23Rh4 was calculated for Cu Kα X-rays.
Kinematic intensities with the Lorentz-polarization factor, no thermal factor.

Structure:
```
data_Si23Rh4
_chemical_formula_sum 'Si46 Rh8'
_symmetry_space_group_name_H-M 'P m -3 n'
_symmetry_Int_Tables_number 223
_symmetry_space_group_name_Hall '-P 4n 2 3'
_cell_length_a 10.0359
_cell_length_b 10.0359
_cell_length_c 10.0359
_cell_angle_alpha 90.00
_cell_angle_beta 90.00
_cell_angle_gamma 90.00
loop_
_atom_site_label
_atom_site_type_symbol
_atom_site_fract_x
_atom_site_fract_y
_atom_site_fract_z
_atom_site_occupancy
Si1 Si 0.0000 0.1151 0.3126 1
Si2 Si 0.0000 0.2500 0.5000 1
Si3 Si 0.1817 0.1817 0.1817 1
Rh1 Rh 0.0000 0.0000 0.0000 1
Rh2 Rh 0.0000 0.5000 0.2500 1
```

The 12 most intense peaks (2θ from 10° to 80°), by intensity:
| d/Å | two_theta | I/Imax |
| --- | --- | --- |
| 2.682 | 33.41 | 100 |
| 2.783 | 32.16 | 42 |
| 1.628 | 56.53 | 37 |
| 2.897 | 30.86 | 26 |
| 2.509 | 35.79 | 19 |
| 1.673 | 54.89 | 18 |
| 4.488 | 19.78 | 17 |
| 4.097 | 21.69 | 15 |
| 1.721 | 53.22 | 15 |
| 1.366 | 68.73 | 12 |
| 1.275 | 74.44 | 12 |
| 2.244 | 40.18 | 11 |

=====

No. 5
Starting from a structure optimized by DFT (PBE), the powder XRD pattern of Sm3Si3Rh was calculated for Cu Kα X-rays.
Kinematic intensities with the Lorentz-polarization factor, no thermal factor.

Structure:
```
data_Sm3Si3Rh
_chemical_formula_sum 'Sm12 Si12 Rh4'
_symmetry_space_group_name_H-M 'C 1 2/m 1'
_symmetry_Int_Tables_number 12
_symmetry_space_group_name_Hall '-C 2y'
_cell_length_a 10.8384
_cell_length_b 4.3061
_cell_length_c 13.8045
_cell_angle_alpha 90.00
_cell_angle_beta 111.13
_cell_angle_gamma 90.00
loop_
_atom_site_label
_atom_site_type_symbol
_atom_site_fract_x
_atom_site_fract_y
_atom_site_fract_z
_atom_site_occupancy
Sm1 Sm 0.0209 0.0000 0.3750 1
Sm2 Sm 0.1017 0.0000 0.9206 1
Sm3 Sm 0.2456 0.0000 0.2281 1
Si1 Si 0.0535 0.5000 0.2380 1
Si2 Si 0.1104 0.5000 0.0752 1
Si3 Si 0.1335 0.5000 0.5432 1
Rh1 Rh 0.2468 0.5000 0.4178 1
```

The 12 most intense peaks (2θ from 10° to 80°), by intensity:
| d/Å | two_theta | I/Imax |
| --- | --- | --- |
| 2.726 | 32.86 | 100 |
| 3.961 | 22.45 | 51 |
| 2.153 | 41.96 | 48 |
| 2.759 | 32.46 | 47 |
| 2.691 | 33.29 | 46 |
| 2.743 | 32.64 | 45 |
| 3.309 | 26.94 | 37 |
| 2.240 | 40.27 | 36 |
| 2.411 | 37.29 | 32 |
| 2.708 | 33.08 | 26 |
| 2.613 | 34.31 | 24 |
| 1.457 | 63.91 | 24 |

=====

No. 6
Starting from a structure optimized by DFT (PBE), the powder XRD pattern of Sm6Si19Rh30 was calculated for Cu Kα X-rays.
Kinematic intensities with the Lorentz-polarization factor, no thermal factor.

Structure:
```
data_Sm6Si19Rh30
_chemical_formula_sum 'Sm6 Si19 Rh30'
_symmetry_space_group_name_H-M 'P 3'
_symmetry_Int_Tables_number 143
_symmetry_space_group_name_Hall 'P 3'
_cell_length_a 15.7988
_cell_length_b 15.7988
_cell_length_c 3.8787
_cell_angle_alpha 90.00
_cell_angle_beta 90.00
_cell_angle_gamma 120.00
loop_
_atom_site_label
_atom_site_type_symbol
_atom_site_fract_x
_atom_site_fract_y
_atom_site_fract_z
_atom_site_occupancy
Sm1 Sm 0.0385 0.2716 0.0000 1
Sm2 Sm 0.4335 0.3701 0.5000 1
Si1 Si 0.0147 0.1071 0.5000 1
Si2 Si 0.0795 0.5446 0.0000 1
Si3 Si 0.2007 0.4132 0.5000 1
Si4 Si 0.2697 0.2320 0.0000 1
Si5 Si 0.3333 0.6667 0.4970 1
Si6 Si 0.3964 0.1014 0.5000 1
Si7 Si 0.5742 0.3481 0.0000 1
Rh1 Rh 0.0606 0.4365 0.5000 1
Rh2 Rh 0.0705 0.8207 0.5000 1
Rh3 Rh 0.1045 0.7125 0.0000 1
Rh4 Rh 0.1096 0.0941 0.0000 1
Rh5 Rh 0.1743 0.6351 0.5000 1
Rh6 Rh 0.2211 0.5272 0.0001 1
Rh7 Rh 0.2579 0.1278 0.5000 1
Rh8 Rh 0.4083 0.2050 0.0001 1
Rh9 Rh 0.4856 0.0825 0.0000 1
Rh10 Rh 0.5571 0.2388 0.5001 1
```

The 12 most intense peaks (2θ from 10° to 80°), by intensity:
| d/Å | two_theta | I/Imax |
| --- | --- | --- |
| 2.440 | 36.84 | 100 |
| 1.939 | 46.85 | 20 |
| 3.139 | 28.43 | 16 |
| 1.812 | 50.35 | 16 |
| 1.955 | 46.46 | 11 |
| 1.324 | 71.21 | 11 |
| 3.103 | 28.77 | 9 |
| 2.565 | 34.98 | 9 |
| 2.191 | 41.20 | 8 |
| 1.377 | 68.11 | 7 |
| 2.366 | 38.03 | 7 |
| 2.586 | 34.69 | 7 |